The following is a theoretical powder X-ray diffraction pattern of BeVCoO. It was derived from the PBE+U geometry in Alexandria, using copper Kα.
Kinematic intensities with the Lorentz-polarization factor, no thermal factor.

Peak list (6 most intense, 2θ = 10–90°, in order of falling intensity)
Position (°2θ)  intensity  h k l
13.75  100.0  0 0 1
47.89  69.4  1 1 -2
40.29  62.8  1 1 0
43.71  57.3  1 1 1
41.80  50.2  2 0 1
43.37  45.0  2 0 -2

Structure:
```
data_BeVCoO
_space_group_name_H-M_alt 'C 1 m 1'
_space_group_IT_number 8
_space_group_name_Hall 'C -2y'
_cell_length_a 4.8889
_cell_length_b 2.5254
_cell_length_c 6.5089
_cell_angle_alpha 90.00
_cell_angle_beta 98.47
_cell_angle_gamma 90.00
loop_
_atom_site_label
_atom_site_type_symbol
_atom_site_fract_x
_atom_site_fract_y
_atom_site_fract_z
Be1 Be 0.0000 0.0000 0.0000
V1 V 0.3834 0.5000 0.3907
Co1 Co 0.1527 0.5000 0.7092
O1 O 0.0283 0.5000 0.1653
```